[1]
Structure and calculated PXRD pattern of EuGaCu (a cell relaxed with PBE; Cu Kα).

Cell and atoms:
```
data_EuGaCu
_cell_length_a 10.331
_cell_length_b 4.517
_cell_length_c 7.437
_cell_angle_alpha 90.00
_cell_angle_beta 133.28
_cell_angle_gamma 90.00
_space_group_name_H-M_alt 'C 1 2/m 1'
_space_group_IT_number 12
loop_
_space_group_symop_operation_xyz
'x,y,z'
'-x,-y,-z'
'-x,y,-z'
'x,-y,z'
'x+1/2,y+1/2,z'
'-x+1/2,-y+1/2,-z'
'-x+1/2,y+1/2,-z'
'x+1/2,-y+1/2,z'
loop_
_atom_site_label
_atom_site_fract_x
_atom_site_fract_y
_atom_site_fract_z
Eu1 0.054 0.000 0.308
Ga1 0.169 0.500 0.102
Cu1 0.164 0.500 0.730
```

Principal peaks in the range 10° ≤ 2θ ≤ 80°, sorted by position:
- 22.97°, intensity 26
- 32.84°, intensity 42
- 33.03°, intensity 100
- 33.68°, intensity 42
- 33.84°, intensity 67
- 34.74°, intensity 26
- 37.71°, intensity 22
- 39.91°, intensity 52
- 41.18°, intensity 53
- 64.17°, intensity 20


[2]
Structure and calculated PXRD pattern of Eu2Cu4Si3Ge (a cell relaxed with PBE; Cu Kα).

Cell and atoms:
```
data_Eu2Cu4Si3Ge
_cell_length_a 4.132
_cell_length_b 4.132
_cell_length_c 9.989
_cell_angle_alpha 90.00
_cell_angle_beta 90.00
_cell_angle_gamma 90.00
_space_group_name_H-M_alt 'P 4 m m'
_space_group_IT_number 99
loop_
_space_group_symop_operation_xyz
'x,y,z'
'-y,x,z'
'-x,-y,z'
'y,-x,z'
'-x,y,z'
'y,x,z'
'x,-y,z'
'-y,-x,z'
loop_
_atom_site_label
_atom_site_fract_x
_atom_site_fract_y
_atom_site_fract_z
Eu1 0.000 0.000 0.000
Eu2 0.500 0.500 0.495
Cu1 0.000 0.500 0.246
Cu2 0.000 0.500 0.754
Si1 0.000 0.000 0.371
Si2 0.500 0.500 0.119
Si3 0.500 0.500 0.879
Ge1 0.000 0.000 0.617
```

Principal peaks in the range 10° ≤ 2θ ≤ 80°, sorted by position:
- 23.30°, intensity 29
- 34.60°, intensity 52
- 35.60°, intensity 100
- 43.82°, intensity 43
- 50.76°, intensity 19
- 57.00°, intensity 24
- 63.70°, intensity 14
- 64.41°, intensity 15
- 69.26°, intensity 15
- 75.16°, intensity 21


[3]
Structure and calculated PXRD pattern of LaEuCu (a cell relaxed with PBE; Cu Kα).

Cell and atoms:
```
data_LaEuCu
_cell_length_a 3.682
_cell_length_b 3.682
_cell_length_c 13.123
_cell_angle_alpha 90.00
_cell_angle_beta 90.00
_cell_angle_gamma 90.00
_space_group_name_H-M_alt 'I 4 m m'
_space_group_IT_number 107
_space_group_name_Hall 'I 4 -2'
loop_
_atom_site_label
_atom_site_fract_x
_atom_site_fract_y
_atom_site_fract_z
La1 0.000 0.000 0.000
Eu1 0.000 0.000 0.735
Cu1 0.000 0.000 0.374
```

Principal peaks in the range 10° ≤ 2θ ≤ 80°, sorted by position:
- 25.12°, intensity 31
- 27.18°, intensity 19
- 31.77°, intensity 100
- 34.45°, intensity 57
- 42.29°, intensity 24
- 44.42°, intensity 20
- 49.51°, intensity 20
- 60.03°, intensity 32
- 67.11°, intensity 12
- 67.49°, intensity 14